For Ce4SmSe7, a structure optimized by DFT (PBE) gives the theoretical powder diffractogram in this record (copper Kα).
Kinematic intensities with the Lorentz-polarization factor, no thermal factor.

Most intense lines, 2θ from 10° to 90°, low angle first:
| (hkl) | 2θ (°) | intensity |
| --- | --- | --- |
| 2 0 2 | 22.3 | 78 |
| 2 0 -3 | 22.7 | 60 |
| 2 0 3 | 28.8 | 38 |
| 3 1 -1 | 29.1 | 75 |
| 3 1 0 | 29.5 | 43 |
| 3 1 -2 | 30.7 | 100 |
| 3 1 1 | 31.7 | 72 |
| 3 1 -3 | 33.8 | 46 |
| 1 1 -4 | 36.3 | 47 |
| 1 1 4 | 39.1 | 51 |
| 6 0 -4 | 43.8 | 55 |
| 0 2 0 | 44.0 | 59 |

Crystal structure
Lattice parameters (Å, degrees): 13.896 4.113 12.426 90.00 105.00 90.00
Space group Cm (No. 8)
Symmetry-distinct sites (fractional):
Ce (0.000, 0.000, 0.000) [2 per cell]
Ce (0.085, 0.500, 0.384) [2 per cell]
Ce (0.187, 0.000, 0.767) [2 per cell]
Ce (0.386, 0.500, 0.575) [2 per cell]
Sm (0.271, 0.500, 0.153) [2 per cell]
Se (0.045, 0.500, 0.627) [2 per cell]
Se (0.125, 0.500, 0.928) [2 per cell]
Se (0.149, 0.000, 0.226) [2 per cell]
Se (0.227, 0.000, 0.525) [2 per cell]
Se (0.345, 0.500, 0.791) [2 per cell]
Se (0.385, 0.000, 0.077) [2 per cell]
Se (0.426, 0.500, 0.358) [2 per cell]



For Ce4SmSe6, a structure optimized by DFT (PBE) gives the theoretical powder diffractogram in this record (copper Kα).
Kinematic intensities with the Lorentz-polarization factor, no thermal factor.

Most intense lines, 2θ from 10° to 90°, low angle first:
| (hkl) | 2θ (°) | intensity |
| --- | --- | --- |
| 1 1 3 | 23.9 | 31 |
| 3 0 0 | 25.8 | 82 |
| 0 2 4 | 30.4 | 76 |
| 1 3 1 | 31.8 | 100 |
| 3 1 2 | 33.7 | 28 |
| 2 1 4 | 34.0 | 100 |
| 2 2 3 | 35.5 | 98 |
| 1 2 5 | 39.0 | 30 |
| 4 1 0 | 40.0 | 48 |
| 3 2 4 | 45.9 | 55 |
| 3 5 4 | 68.8 | 38 |
| 5 0 8 | 69.5 | 26 |

Crystal structure
Lattice parameters (Å, degrees): 11.9416 11.9416 14.2971 90.00 90.00 120.00
Space group R-3c (No. 167, hexagonal axes)
Symmetry-distinct sites (fractional):
Ce (0.0000, 0.0000, 0.2500) [6 per cell]
Ce (0.0000, 0.3853, 0.2500) [18 per cell]
Sm (0.0000, 0.0000, 0.0000) [6 per cell]
Se (0.0290, 0.2058, 0.3836) [36 per cell]



For Ce2SmSe4, a structure optimized by DFT (PBE) gives the theoretical powder diffractogram in this record (copper Kα).
Kinematic intensities with the Lorentz-polarization factor, no thermal factor.

Most intense lines, 2θ from 10° to 90°, low angle first:
| (hkl) | 2θ (°) | intensity |
| --- | --- | --- |
| 1 0 1 | 13.0 | 26 |
| 2 2 0 | 30.0 | 100 |
| 0 0 4 | 30.4 | 48 |
| 0 4 0 | 42.8 | 19 |
| 4 0 0 | 43.3 | 91 |
| 0 4 4 | 53.4 | 20 |
| 4 0 4 | 53.8 | 19 |
| 4 4 0 | 62.4 | 12 |
| 6 2 0 | 71.1 | 25 |
| 2 2 8 | 71.6 | 16 |
| 2 6 4 | 78.7 | 12 |
| 6 2 4 | 79.3 | 12 |

Crystal structure
Lattice parameters (Å, degrees): 8.376 8.452 11.754 90.00 90.00 90.00
Space group Imma (No. 74)
Symmetry-distinct sites (fractional):
Ce (0.000, 0.000, 0.000) [4 per cell]
Ce (0.250, 0.250, 0.250) [4 per cell]
Sm (0.250, 0.250, 0.750) [4 per cell]
Se (0.000, 0.002, 0.745) [8 per cell]
Se (0.245, 0.250, 0.999) [8 per cell]



For CeSmTl2Se4, a structure optimized by DFT (PBE) gives the theoretical powder diffractogram in this record (copper Kα).
Kinematic intensities with the Lorentz-polarization factor, no thermal factor.

Most intense lines, 2θ from 10° to 90°, low angle first:
| (hkl) | 2θ (°) | intensity |
| --- | --- | --- |
| 0 0 2 | 23.0 | 9 |
| 2 0 0 | 25.0 | 19 |
| 1 1 1 | 28.4 | 100 |
| 2 0 2 | 39.3 | 37 |
| 0 2 0 | 41.9 | 36 |
| 1 1 3 | 46.0 | 6 |
| 3 1 1 | 48.3 | 8 |
| 2 2 -2 | 51.4 | 19 |
| 2 2 2 | 58.8 | 12 |
| 0 2 4 | 64.7 | 14 |
| 4 2 0 | 68.4 | 16 |
| 4 2 -4 | 74.8 | 11 |

Crystal structure
Lattice parameters (Å, degrees): 7.468 4.315 8.130 90.00 107.79 90.00
Space group P2/m (No. 10)
Symmetry-distinct sites (fractional):
Ce (0.000, 0.000, 0.000) [1 per cell]
Sm (0.500, 0.500, 0.000) [1 per cell]
Tl (0.000, 0.500, 0.500) [1 per cell]
Tl (0.500, 0.000, 0.500) [1 per cell]
Se (0.239, 0.500, 0.209) [2 per cell]
Se (0.267, 0.000, 0.792) [2 per cell]



For CeSmY2Se6, a structure optimized by DFT (PBE) gives the theoretical powder diffractogram in this record (copper Kα).
Kinematic intensities with the Lorentz-polarization factor, no thermal factor.

Most intense lines, 2θ from 10° to 90°, low angle first:
| (hkl) | 2θ (°) | intensity |
| --- | --- | --- |
| 0 2 0 | 14.5 | 38 |
| 1 1 -1 | 16.6 | 18 |
| 0 2 1 | 19.7 | 15 |
| 2 0 -2 | 30.0 | 53 |
| 1 3 1 | 30.5 | 100 |
| 3 3 -1 | 42.5 | 42 |
| 2 0 2 | 42.7 | 19 |
| 1 3 -3 | 44.1 | 37 |
| 0 6 0 | 44.8 | 16 |
| 2 6 -2 | 54.8 | 19 |
| 2 6 2 | 63.6 | 11 |
| 3 3 3 | 70.6 | 10 |

Crystal structure
Lattice parameters (Å, degrees): 7.492 12.143 7.154 90.00 109.22 90.00
Space group C2 (No. 5)
Symmetry-distinct sites (fractional):
Ce (0.000, 0.000, 0.000) [2 per cell]
Sm (0.000, 0.472, 0.500) [2 per cell]
Y (0.000, 0.647, 0.000) [2 per cell]
Y (0.000, 0.825, 0.500) [2 per cell]
Se (0.220, 0.650, 0.745) [4 per cell]
Se (0.223, 0.821, 0.247) [4 per cell]
Se (0.248, 0.485, 0.250) [4 per cell]



For Ce2SnSe4, a structure optimized by DFT (PBE) gives the theoretical powder diffractogram in this record (copper Kα).
Kinematic intensities with the Lorentz-polarization factor, no thermal factor.

Most intense lines, 2θ from 10° to 90°, low angle first:
| (hkl) | 2θ (°) | intensity |
| --- | --- | --- |
| 3 0 2 | 24.7 | 51 |
| 2 1 0 | 25.3 | 54 |
| 1 1 3 | 28.1 | 100 |
| 2 1 3 | 30.8 | 88 |
| 4 0 2 | 31.5 | 40 |
| 1 1 4 | 32.1 | 40 |
| 2 1 4 | 34.6 | 73 |
| 4 1 0 | 36.1 | 53 |
| 2 0 6 | 38.1 | 46 |
| 3 0 6 | 41.7 | 31 |
| 0 2 0 | 42.1 | 67 |
| 2 1 6 | 43.7 | 43 |

Crystal structure
Lattice parameters (Å, degrees): 12.224 4.296 15.365 90.00 90.00 90.00
Space group Pnma (No. 62)
Symmetry-distinct sites (fractional):
Ce (0.060, 0.250, 0.102) [4 per cell]
Ce (0.105, 0.250, 0.595) [4 per cell]
Sn (0.236, 0.250, 0.836) [4 per cell]
Se (0.016, 0.250, 0.787) [4 per cell]
Se (0.057, 0.250, 0.410) [4 per cell]
Se (0.159, 0.750, 0.989) [4 per cell]
Se (0.235, 0.750, 0.696) [4 per cell]



Q: What is the formula in the fourth record?
A: CeSmTl2Se4



Q: Number 4 is which compound?
A: CeSmTl2Se4